Li8Cd6Pb: simulated powder diffractogram (Cu Kα, 1.54184 Å), based on a structure optimized by DFT (PBE).
Intensities are scaled so that the largest is 1000.

```
Li8Cd6Pb
1.0
3.835 2.214 6.003
-3.835 2.214 6.003
0.000 -4.428 6.003
Li Cd Pb
8 6 1
direct
0.131 0.612 0.400
0.234 0.234 0.234
0.388 0.600 0.869
0.400 0.131 0.612
0.600 0.869 0.388
0.612 0.400 0.131
0.766 0.766 0.766
0.869 0.388 0.600
0.067 0.352 0.881
0.119 0.933 0.648
0.352 0.881 0.067
0.648 0.119 0.933
0.881 0.067 0.352
0.933 0.648 0.119
0.500 0.500 0.500
```

Peak list (8 most intense, 10° ≤ 2θ ≤ 90°, in order of rising 2θ)
14.76°, rel. 743; 16.59°, rel. 580; 27.31°, rel. 792; 27.60°, rel. 1000; 28.19°, rel. 641; 37.18°, rel. 676; 38.07°, rel. 510; 41.17°, rel. 779